Calculated X-ray diffraction stick pattern
Compound: NdYZn2Ge2
Radiation: Cu Ka
Structure: a GGA-PBE-relaxed structure
Intensities are scaled so that the largest is 100.

Crystal structure
Cell: 4.2701 4.2701 16.0927 Å, 90.00 90.00 120.00°
Space group P6_3/mmc (No. 194)
Inequivalent atoms, fractional coordinates:
1 Nd 0.0000 0.0000 0.0000 (multiplicity 2)
2 Y 0.0000 0.0000 0.2500 (multiplicity 2)
3 Zn 0.3333 0.6667 0.1499 (multiplicity 4)
4 Ge 0.3333 0.6667 0.6177 (multiplicity 4)

Top 8 peaks for 2θ from 10° to 90°, in order of falling intensity:
(1 0 4), 32.90 deg, I = 100; (1 1 0), 42.33 deg, I = 51; (2 0 4), 54.63 deg, I = 23; (2 1 4), 71.45 deg, I = 20; (1 1 8), 63.54 deg, I = 19; (0 0 8), 45.07 deg, I = 9; (3 0 0), 77.42 deg, I = 8; (1 0 7), 46.51 deg, I = 7